[1]
Calculated powder XRD pattern
Compound: Na2Cd3Si3O10
Radiation: CuKα
Structure: a cell relaxed with GGA-PBE
No peak broadening, texture or thermal motion is included.

Peak list (10 most intense, 2θ = 10–90°, sorted by position)
| 2θ (°) | intensity |
| --- | --- |
| 10.6 | 73 |
| 24.3 | 100 |
| 29.8 | 31 |
| 30.4 | 58 |
| 32.3 | 39 |
| 33.2 | 19 |
| 33.3 | 22 |
| 34.6 | 43 |
| 34.8 | 20 |
| 44.8 | 26 |

Atomic structure:
```
Na2Cd3Si3O10
1.0
8.403 -2.594 0.000
8.403 2.594 0.000
-0.849 0.000 11.121
Na Cd Si O
4 6 6 20
Direct
0.189 0.715 0.532
0.285 0.811 0.968
0.715 0.189 0.032
0.811 0.285 0.468
0.000 0.500 0.500
0.054 0.630 0.795
0.370 0.946 0.705
0.500 0.000 0.000
0.630 0.054 0.295
0.946 0.370 0.205
0.157 0.542 0.102
0.180 0.820 0.250
0.458 0.843 0.398
0.542 0.157 0.602
0.820 0.180 0.750
0.843 0.458 0.898
0.032 0.060 0.652
0.060 0.032 0.152
0.152 0.164 0.396
0.164 0.152 0.896
0.247 0.315 0.171
0.291 0.412 0.968
0.315 0.247 0.671
0.325 0.551 0.173
0.412 0.291 0.468
0.449 0.675 0.327
0.551 0.325 0.673
0.588 0.709 0.532
0.675 0.449 0.827
0.685 0.753 0.329
0.709 0.588 0.032
0.753 0.685 0.829
0.836 0.848 0.104
0.848 0.836 0.604
0.940 0.968 0.848
0.968 0.940 0.348
```



[2]
Calculated powder XRD pattern
Compound: Nd2Ho3Mg2
Radiation: CuKα
Structure: a cell relaxed with GGA-PBE
No peak broadening, texture or thermal motion is included.

Peak list (10 most intense, 2θ = 10–90°, sorted by position)
| 2θ (°) | intensity |
| --- | --- |
| 10.3 | 25 |
| 25.4 | 29 |
| 29.9 | 33 |
| 31.2 | 100 |
| 33.0 | 64 |
| 36.2 | 68 |
| 36.5 | 27 |
| 40.7 | 24 |
| 54.4 | 38 |
| 62.1 | 28 |

Atomic structure:
```
Nd2Ho3Mg2
1.0
3.529 0.000 0.000
0.000 34.452 0.000
0.000 0.000 3.499
Nd Ho Mg
4 6 4
Direct
0.000 0.204 0.000
0.000 0.796 0.000
0.500 0.296 0.000
0.500 0.704 0.000
0.000 0.072 0.000
0.000 0.500 0.500
0.000 0.928 0.000
0.500 0.000 0.500
0.500 0.428 0.000
0.500 0.572 0.000
0.000 0.363 0.500
0.000 0.637 0.500
0.500 0.137 0.500
0.500 0.863 0.500
```



[3]
Calculated powder XRD pattern
Compound: B3C5
Radiation: CuKα
Structure: a cell relaxed with GGA-PBE
No peak broadening, texture or thermal motion is included.

Peak list (10 most intense, 2θ = 10–90°, sorted by position)
| 2θ (°) | intensity |
| --- | --- |
| 17.2 | 6 |
| 21.8 | 29 |
| 41.4 | 100 |
| 43.0 | 95 |
| 70.3 | 53 |
| 73.4 | 12 |
| 77.6 | 11 |
| 79.9 | 9 |
| 80.9 | 7 |
| 89.0 | 16 |

Atomic structure:
```
B3C5
1.0
2.460 0.000 0.000
0.000 5.160 0.000
0.000 0.000 4.069
B C
3 5
Direct
0.000 0.000 0.000
0.000 0.500 0.038
0.500 0.500 0.711
0.000 0.243 0.273
0.000 0.757 0.273
0.500 0.000 0.718
0.500 0.239 0.489
0.500 0.761 0.489
```



[4]
Calculated powder XRD pattern
Compound: Ca2PdRuN
Radiation: CuKα
Structure: a cell relaxed with GGA-PBE
No peak broadening, texture or thermal motion is included.

Peak list (10 most intense, 2θ = 10–90°, sorted by position)
| 2θ (°) | intensity |
| --- | --- |
| 23.5 | 11 |
| 25.4 | 29 |
| 34.8 | 100 |
| 36.2 | 54 |
| 43.6 | 9 |
| 48.0 | 12 |
| 52.1 | 18 |
| 61.6 | 21 |
| 64.2 | 32 |
| 73.6 | 12 |

Atomic structure:
```
Ca2PdRuN
1.0
4.967 0.000 0.000
0.000 4.967 0.000
0.000 0.000 3.788
Ca Pd Ru N
2 1 1 1
Direct
0.000 0.500 0.000
0.500 0.000 0.000
0.000 0.000 0.500
0.500 0.500 0.500
0.500 0.500 0.000
```



[5]
Calculated powder XRD pattern
Compound: K2Fe2P2N
Radiation: CuKα
Structure: a cell relaxed with GGA-PBE
No peak broadening, texture or thermal motion is included.

Peak list (10 most intense, 2θ = 10–90°, sorted by position)
| 2θ (°) | intensity |
| --- | --- |
| 13.4 | 100 |
| 28.8 | 34 |
| 31.4 | 64 |
| 33.7 | 38 |
| 34.3 | 23 |
| 34.8 | 27 |
| 35.1 | 26 |
| 37.9 | 41 |
| 48.7 | 24 |
| 57.0 | 17 |

Atomic structure:
```
K2Fe2P2N
1.0
10.706 0.000 0.000
0.000 3.743 0.000
-3.917 0.000 6.600
K Fe P N
4 4 4 2
Direct
0.066 0.000 0.340
0.434 0.500 0.660
0.566 0.500 0.340
0.934 0.000 0.660
0.175 0.500 0.050
0.325 0.000 0.950
0.675 0.000 0.050
0.825 0.500 0.950
0.211 0.500 0.792
0.289 0.000 0.208
0.711 0.000 0.792
0.789 0.500 0.208
0.000 0.500 0.000
0.500 0.000 0.000
```



[6]
Calculated powder XRD pattern
Compound: K3Hg4Pt
Radiation: CuKα
Structure: a cell relaxed with GGA-PBE
No peak broadening, texture or thermal motion is included.

Peak list (10 most intense, 2θ = 10–90°, sorted by position)
| 2θ (°) | intensity |
| --- | --- |
| 13.5 | 100 |
| 16.9 | 98 |
| 17.4 | 64 |
| 17.8 | 52 |
| 26.8 | 55 |
| 32.2 | 97 |
| 32.5 | 80 |
| 39.0 | 51 |
| 40.2 | 91 |
| 41.3 | 47 |

Atomic structure:
```
K3Hg4Pt
1.0
6.146 0.000 0.000
0.000 8.581 0.000
0.000 0.000 10.171
K Hg Pt
6 8 2
Direct
0.000 0.000 0.000
0.000 0.211 0.389
0.000 0.789 0.389
0.500 0.289 0.889
0.500 0.500 0.500
0.500 0.711 0.889
0.000 0.321 0.713
0.000 0.679 0.713
0.246 0.500 0.171
0.254 0.000 0.671
0.500 0.179 0.213
0.500 0.821 0.213
0.746 0.000 0.671
0.754 0.500 0.171
0.000 0.500 0.940
0.500 0.000 0.440
```



[7]
Calculated powder XRD pattern
Compound: LaSnOs
Radiation: CuKα
Structure: a cell relaxed with GGA-PBE
No peak broadening, texture or thermal motion is included.

Peak list (10 most intense, 2θ = 10–90°, sorted by position)
| 2θ (°) | intensity |
| --- | --- |
| 12.3 | 71 |
| 30.1 | 38 |
| 31.5 | 17 |
| 37.2 | 100 |
| 39.2 | 52 |
| 41.2 | 15 |
| 54.7 | 11 |
| 56.6 | 18 |
| 69.3 | 11 |
| 69.7 | 33 |

Atomic structure:
```
LaSnOs
1.0
4.600 0.000 0.000
0.000 4.600 0.000
0.000 0.000 7.206
La Sn Os
2 2 2
Direct
0.250 0.250 0.207
0.750 0.750 0.793
0.250 0.250 0.705
0.750 0.750 0.295
0.250 0.750 0.500
0.750 0.250 0.500
```



[8]
Calculated powder XRD pattern
Compound: NaAcAgO4
Radiation: CuKα
Structure: a cell relaxed with GGA-PBE
No peak broadening, texture or thermal motion is included.

Peak list (10 most intense, 2θ = 10–90°, sorted by position)
| 2θ (°) | intensity |
| --- | --- |
| 10.9 | 79 |
| 22.5 | 53 |
| 24.8 | 69 |
| 28.1 | 59 |
| 29.1 | 78 |
| 29.5 | 100 |
| 30.5 | 75 |
| 36.0 | 37 |
| 49.1 | 39 |
| 50.8 | 39 |

Atomic structure:
```
NaAcAgO4
1.0
6.361 0.000 0.000
0.000 4.526 0.000
-2.958 0.000 8.121
Na Ac Ag O
2 2 2 8
Direct
0.015 0.250 0.118
0.985 0.750 0.882
0.193 0.750 0.427
0.807 0.250 0.573
0.391 0.250 0.857
0.609 0.750 0.143
0.065 0.250 0.421
0.067 0.250 0.865
0.457 0.094 0.290
0.457 0.406 0.290
0.543 0.594 0.710
0.543 0.906 0.710
0.933 0.750 0.135
0.935 0.750 0.579
```